For Tl2Cu12As7, a GGA-PBE-relaxed structure gives the simulated powder diffraction line list in this record (Cu Kα (weighted mean of Kα1 and Kα2)).

Crystal structure
a b c (Å): 9.8108 9.8108 4.1495
angles (deg): 90.00 90.00 120.00
Space group P-3 (No. 147)
Symmetry-distinct sites (fractional):
Tl  0.3333  0.6667  0.2256 [2 per cell]
Cu  0.0568  0.4295  0.7920 [6 per cell]
Cu  0.1231  0.2518  0.1844 [6 per cell]
As  0.0000  0.0000  0.5000 [1 per cell]
As  0.1036  0.7046  0.7106 [6 per cell]

Top 6 peaks for 2θ from 10° to 90°, by angle:
2θ/deg, d (Å), I_rel
30.11, 2.968, 17
31.59, 2.832, 16
35.34, 2.540, 100
43.63, 2.075, 14
49.14, 1.854, 19
51.82, 1.764, 17

---

For CaTb5Ag4, a GGA-PBE-relaxed structure gives the simulated powder diffraction line list in this record (Cu Kα (weighted mean of Kα1 and Kα2)).

Crystal structure
a b c (Å): 3.6472 3.6472 20.1394
angles (deg): 90.00 90.00 90.00
Space group P4/mmm (No. 123)
Symmetry-distinct sites (fractional):
Ca  0.0000  0.0000  0.0000 [1 per cell]
Tb  0.5000  0.5000  0.1387 [2 per cell]
Tb  0.5000  0.5000  0.3176 [2 per cell]
Tb  0.5000  0.5000  0.5000 [1 per cell]
Ag  0.0000  0.0000  0.2255 [2 per cell]
Ag  0.0000  0.0000  0.4095 [2 per cell]

Top 6 peaks for 2θ from 10° to 90°, by angle:
2θ/deg, d (Å), I_rel
33.14, 2.704, 100
34.79, 2.579, 80
36.38, 2.470, 67
50.02, 1.824, 28
61.32, 1.512, 33
63.40, 1.467, 26

---

For HfAlTe2, a GGA-PBE-relaxed structure gives the simulated powder diffraction line list in this record (Cu Kα (weighted mean of Kα1 and Kα2)).

Crystal structure
a b c (Å): 3.8237 3.8237 29.1277
angles (deg): 90.00 90.00 120.00
Space group R-3m (No. 166, hexagonal axes)
Symmetry-distinct sites (fractional):
Hf  0.0000  0.0000  0.0000 [3 per cell]
Al  0.0000  0.0000  0.5000 [3 per cell]
Te  0.0000  0.0000  0.3963 [6 per cell]

Top 6 peaks for 2θ from 10° to 90°, by angle:
2θ/deg, d (Å), I_rel
27.62, 3.229, 65
31.07, 2.879, 100
36.68, 2.450, 43
41.28, 2.187, 58
47.56, 1.912, 40
48.53, 1.876, 22

---

For Na3Al2Ag7, a GGA-PBE-relaxed structure gives the simulated powder diffraction line list in this record (Cu Kα (weighted mean of Kα1 and Kα2)).

Crystal structure
a b c (Å): 5.6805 5.6805 26.9344
angles (deg): 90.00 90.00 120.00
Space group R-3m (No. 166, hexagonal axes)
Symmetry-distinct sites (fractional):
Na  0.0000  0.0000  0.0000 [3 per cell]
Na  0.0000  0.0000  0.1432 [6 per cell]
Al  0.0000  0.0000  0.3327 [6 per cell]
Ag  0.0000  0.0000  0.5000 [3 per cell]
Ag  0.0007  0.5004  0.9208 [18 per cell]

Top 6 peaks for 2θ from 10° to 90°, by angle:
2θ/deg, d (Å), I_rel
18.33, 4.839, 100
19.78, 4.489, 69
36.69, 2.450, 56
37.47, 2.400, 81
40.31, 2.237, 73
43.68, 2.072, 64

---

For Mg5In6, a GGA-PBE-relaxed structure gives the simulated powder diffraction line list in this record (Cu Kα (weighted mean of Kα1 and Kα2)).

Crystal structure
a b c (Å): 5.4800 6.4438 8.2832
angles (deg): 111.97 90.09 90.56
Space group P-1 (No. 2)
Symmetry-distinct sites (fractional):
Mg  0.0000  0.0000  0.0000 [1 per cell]
Mg  0.3199  0.3357  0.6735 [2 per cell]
Mg  0.3343  0.8320  0.6665 [2 per cell]
In  0.1658  0.4187  0.3280 [2 per cell]
In  0.1679  0.9138  0.3309 [2 per cell]
In  0.4979  0.7441  0.9996 [2 per cell]

Top 6 peaks for 2θ from 10° to 90°, by angle:
2θ/deg, d (Å), I_rel
19.96, 4.449, 92
27.69, 3.221, 42
28.30, 3.153, 40
34.37, 2.609, 100
34.70, 2.585, 49
35.04, 2.561, 47

---

For Ac4La7Dy, a GGA-PBE-relaxed structure gives the simulated powder diffraction line list in this record (Cu Kα (weighted mean of Kα1 and Kα2)).

Crystal structure
a b c (Å): 6.6525 7.6600 9.5142
angles (deg): 90.08 103.51 90.08
Space group P-1 (No. 2)
Symmetry-distinct sites (fractional):
Ac  0.2220  0.2406  0.1727 [2 per cell]
Ac  0.2712  0.5002  0.8289 [2 per cell]
La  0.0024  0.7576  0.4961 [2 per cell]
La  0.2260  0.7548  0.1750 [2 per cell]
La  0.2822  0.0011  0.8279 [2 per cell]
La  0.5000  0.5000  0.5000 [1 per cell]
Dy  0.5000  0.0000  0.5000 [1 per cell]

Top 6 peaks for 2θ from 10° to 90°, by angle:
2θ/deg, d (Å), I_rel
27.04, 3.298, 28
28.95, 3.084, 49
29.82, 2.996, 100
31.39, 2.850, 77
47.37, 1.919, 26
56.47, 1.629, 30

---

For HfCo10B3, a GGA-PBE-relaxed structure gives the simulated powder diffraction line list in this record (Cu Kα (weighted mean of Kα1 and Kα2)).

Crystal structure
a b c (Å): 10.5205 10.5205 10.5205
angles (deg): 90.00 90.00 90.00
Space group Fm-3m (No. 225)
Symmetry-distinct sites (fractional):
Hf  0.2500  0.2500  0.2500 [8 per cell]
Co  0.0000  0.1683  0.1683 [48 per cell]
Co  0.1146  0.1146  0.3854 [32 per cell]
B  0.0000  0.0000  0.2734 [24 per cell]

Top 6 peaks for 2θ from 10° to 90°, by angle:
2θ/deg, d (Å), I_rel
16.85, 5.260, 41
38.26, 2.352, 100
42.08, 2.147, 59
44.76, 2.025, 77
51.38, 1.778, 34
76.89, 1.240, 34